[1]
The following is a simulated powder diffractogram of ErCuTe2ClO6. It was derived from a crystal structure in the Materials Project, relaxed with PBE, using a wavelength of 1.5418 Å.
Kinematic intensities with the Lorentz-polarization factor, no thermal factor.

Top 6 peaks for 2θ = 15–90°, low angle first:
- 23.81 deg, rel. 53
- 24.13 deg, rel. 54
- 28.37 deg, rel. 34
- 29.53 deg, rel. 100
- 33.14 deg, rel. 58
- 33.55 deg, rel. 71

Atomic structure:
Cell lengths 5.4188, 14.9565, 9.2816 Å; angles 90.00, 99.68, 90.00 degrees
Space group P2_1/c (No. 14)
Inequivalent atoms, fractional coordinates:
Er 0.2457 0.0866 0.4743 (multiplicity 4)
Cu 0.2277 0.2245 0.1740 (multiplicity 4)
Te 0.2453 0.6520 0.7812 (multiplicity 4)
Te 0.2801 0.5872 0.2944 (multiplicity 4)
Cl 0.2301 0.1044 0.9446 (multiplicity 4)
O 0.0019 0.1746 0.5986 (multiplicity 4)
O 0.0321 0.6781 0.2261 (multiplicity 4)
O 0.1270 0.5175 0.1336 (multiplicity 4)
O 0.3780 0.5438 0.8738 (multiplicity 4)
O 0.4612 0.1391 0.2955 (multiplicity 4)
O 0.4837 0.2120 0.5942 (multiplicity 4)


[2]
The following is a simulated powder diffractogram of Rb2EuCuCl6. It was derived from a crystal structure in the Materials Project, relaxed with PBE, using a wavelength of 1.5418 Å.
Kinematic intensities with the Lorentz-polarization factor, no thermal factor.

Top 6 peaks for 2θ = 15–90°, low angle first:
- 23.97 deg, rel. 100
- 34.15 deg, rel. 72
- 42.15 deg, rel. 45
- 49.07 deg, rel. 48
- 55.33 deg, rel. 22
- 66.64 deg, rel. 24

Atomic structure:
Cell lengths 10.5020, 10.5020, 10.5020 Å; angles 90.00, 90.00, 90.00 degrees
Space group Fm-3m (No. 225)
Inequivalent atoms, fractional coordinates:
Rb 0.2500 0.2500 0.2500 (multiplicity 8)
Eu 0.0000 0.0000 0.0000 (multiplicity 4)
Cu 0.0000 0.0000 0.5000 (multiplicity 4)
Cl 0.0000 0.0000 0.2619 (multiplicity 24)


[3]
The following is a simulated powder diffractogram of K2CuCl2F2. It was derived from a crystal structure in the Materials Project, relaxed with PBE, using a wavelength of 1.5418 Å.
Kinematic intensities with the Lorentz-polarization factor, no thermal factor.

Top 6 peaks for 2θ = 15–90°, low angle first:
- 20.69 deg, rel. 34
- 28.16 deg, rel. 100
- 36.12 deg, rel. 80
- 37.21 deg, rel. 24
- 40.25 deg, rel. 65
- 55.17 deg, rel. 47

Atomic structure:
Cell lengths 14.9375, 6.3382, 6.3373 Å; angles 90.00, 90.00, 90.00 degrees
Space group Cmce (No. 64)
Inequivalent atoms, fractional coordinates:
K 0.1234 0.0000 0.0000 (multiplicity 8)
Cu 0.0000 0.0000 0.5000 (multiplicity 4)
Cl 0.1562 0.0000 0.5000 (multiplicity 8)
F 0.0000 0.2142 0.2858 (multiplicity 8)